Structure and theoretical X-ray powder pattern of Ta2Pd3Se8 (the PBE geometry in the Materials Project; copper Kα).
No peak broadening, texture or thermal motion is included.

```
data_Ta2Pd3Se8
_space_group_name_H-M_alt 'P b a m'
_space_group_IT_number 55
_space_group_name_Hall '-P 2 2ab'
_cell_length_a 11.1999
_cell_length_b 15.6481
_cell_length_c 3.6110
_cell_angle_alpha 90.00
_cell_angle_beta 90.00
_cell_angle_gamma 90.00
loop_
_atom_site_label
_atom_site_type_symbol
_atom_site_fract_x
_atom_site_fract_y
_atom_site_fract_z
_atom_site_occupancy
Ta1 Ta 0.1943 0.1251 0.0000 1
Pd1 Pd 0.0000 0.0000 0.5000 1
Pd2 Pd 0.1488 0.7250 0.5000 1
Se1 Se 0.0267 0.1568 0.5000 1
Se2 Se 0.0757 0.6279 0.0000 1
Se3 Se 0.2208 0.0038 0.5000 1
Se4 Se 0.2240 0.2879 0.0000 1
```

Main lines, low angle first (10 to 90 degrees two-theta):
index  d/Å  I (rel.)
1 2 0  6.414  100
0 4 1  2.653  37
3 5 0  2.398  21
4 1 1  2.191  38
1 6 1  2.078  33
0 0 2  1.806  23

***

Structure and theoretical X-ray powder pattern of TePdSe (the PBE geometry in the Materials Project; copper Kα).
No peak broadening, texture or thermal motion is included.

```
data_TePdSe
_space_group_name_H-M_alt 'P 3 m 1'
_space_group_IT_number 156
_space_group_name_Hall 'P 3 -2"'
_cell_length_a 3.9702
_cell_length_b 3.9702
_cell_length_c 5.1092
_cell_angle_alpha 90.00
_cell_angle_beta 90.00
_cell_angle_gamma 120.00
loop_
_atom_site_label
_atom_site_type_symbol
_atom_site_fract_x
_atom_site_fract_y
_atom_site_fract_z
_atom_site_occupancy
Te1 Te 0.0000 0.0000 0.0000 1
Pd1 Pd 0.3333 0.6667 0.2723 1
Se1 Se 0.6667 0.3333 0.5166 1
```

Main lines, low angle first (10 to 90 degrees two-theta):
index  d/Å  I (rel.)
0 0 1  5.109  17
0 1 1  2.853  100
1 0 2  2.051  39
1 1 0  1.985  38
2 0 1  1.629  18
1 2 1  1.259  15

***

Structure and theoretical X-ray powder pattern of Tl2PdSe2 (the PBE geometry in the Materials Project; copper Kα).
No peak broadening, texture or thermal motion is included.

```
data_Tl2PdSe2
_space_group_name_H-M_alt 'P b a m'
_space_group_IT_number 55
_space_group_name_Hall '-P 2 2ab'
_cell_length_a 6.2111
_cell_length_b 11.5935
_cell_length_c 3.7468
_cell_angle_alpha 90.00
_cell_angle_beta 90.00
_cell_angle_gamma 90.00
loop_
_atom_site_label
_atom_site_type_symbol
_atom_site_fract_x
_atom_site_fract_y
_atom_site_fract_z
_atom_site_occupancy
Tl1 Tl 0.1105 0.1532 0.0000 1
Pd1 Pd 0.0000 0.5000 0.0000 1
Se1 Se 0.1758 0.3895 0.5000 1
```

Main lines, low angle first (10 to 90 degrees two-theta):
index  d/Å  I (rel.)
0 0 1  3.747  43
1 3 0  3.281  71
2 1 0  3.000  67
1 2 1  2.807  100
1 3 1  2.468  94
2 1 1  2.342  24

***

What is the formula in the third record? Tl2PdSe2